(1)
Diffraction record for LaBi2As2. The powder X-ray diffraction pattern is calculated, not measured: it uses a DFT-relaxed cell (GGA-PBE, Alexandria) and CuKα.
No peak broadening, texture or thermal motion is included.

Structural model:
a = 8.2648 Å, b = 8.2648 Å, c = 4.2118 Å
α = 90.00°, β = 90.00°, γ = 90.00°
Space group P4/mbm (No. 127)
Symmetry-distinct sites (fractional):
La (0.0000, 0.0000, 0.0000) (multiplicity 2)
Bi (0.1691, 0.3309, 0.5000) (multiplicity 4)
As (0.1660, 0.6660, 0.0000) (multiplicity 4)

Most intense lines, 15° ≤ 2θ ≤ 90°, by angle:
Position (°2θ)  d/Å  I/Imax
24.1  3.696  20.2
26.1  3.417  18.2
30.3  2.950  25.1
30.6  2.922  13.3
32.2  2.778  100.0
34.3  2.614  40.8
42.9  2.106  15.9
50.4  1.810  31.0
51.7  1.768  11.9
56.1  1.640  20.2
64.6  1.442  12.9
71.9  1.312  10.3

=====

(2)
Diffraction record for La2BiAs3. The powder X-ray diffraction pattern is calculated, not measured: it uses a DFT-relaxed cell (GGA-PBE, Alexandria) and CuKα.
No peak broadening, texture or thermal motion is included.

Structural model:
a = 4.3297 Å, b = 18.5272 Å, c = 4.4011 Å
α = 90.00°, β = 90.00°, γ = 90.00°
Space group Imm2 (No. 44)
Symmetry-distinct sites (fractional):
La (0.0000, 0.1657, 0.0000) (multiplicity 4)
Bi (0.0000, 0.5000, 0.0759) (multiplicity 2)
As (0.0000, 0.0000, 0.0018) (multiplicity 2)
As (0.0000, 0.3325, 0.0072) (multiplicity 4)

Most intense lines, 15° ≤ 2θ ≤ 90°, by angle:
Position (°2θ)  d/Å  I/Imax
24.8  3.584  11.2
25.1  3.545  11.5
28.9  3.087  100.0
41.0  2.201  11.2
41.4  2.183  50.1
41.7  2.165  12.8
51.0  1.792  11.9
51.6  1.773  13.8
59.9  1.543  11.7
67.9  1.381  21.6
75.0  1.267  6.0
75.9  1.253  8.4